Starting from a DFT-relaxed cell (PBE, Alexandria), the powder diffractogram of SbPCl2 was calculated for Cu Kα, 1.54184 Å.

Atomic structure:
abc: 4.003 4.003 7.662
angles: 90.00 90.00 90.00
Space group P4mm (No. 99)
Asymmetric unit:
Sb (0.000, 0.000, 0.000) [1 per cell]
P (0.500, 0.500, 0.013) [1 per cell]
Cl (0.000, 0.000, 0.690) [1 per cell]
Cl (0.500, 0.500, 0.286) [1 per cell]

Main lines, sorted by position (2θ = 5–70°):
7.662 Å, rel. 100
4.003 Å, rel. 20
3.548 Å, rel. 48
2.831 Å, rel. 53
2.768 Å, rel. 21
2.655 Å, rel. 30
2.554 Å, rel. 17
2.002 Å, rel. 18
1.896 Å, rel. 26
1.575 Å, rel. 14